# 1
Computed X-ray diffraction stick pattern
Compound: LiCoPO4
Radiation: Cu Kα (weighted mean of Kα1 and Kα2)
Structure: a DFT-relaxed cell (GGA+U, the Materials Project)
Intensities are scaled so that the largest is 100.

Top 10 peaks for 2θ = 10–90°, low angle first:
2θ 21.9, 4.051 Å, rel. 100
2θ 35.7, 2.516 Å, rel. 59
2θ 37.2, 2.414 Å, rel. 5
2θ 40.9, 2.207 Å, rel. 10
2θ 43.6, 2.074 Å, rel. 21
2θ 53.7, 1.707 Å, rel. 11
2θ 56.5, 1.629 Å, rel. 13
2θ 63.1, 1.474 Å, rel. 14
2θ 66.1, 1.413 Å, rel. 13
2θ 71.6, 1.318 Å, rel. 7

Cell and atoms:
Lattice parameters (Å, degrees): 5.0516 5.0516 5.0516 122.90 122.90 85.05
Element x y z (fractional)
Li 0.0000 0.0000 0.0000
Co 0.5000 0.5000 0.0000
P 0.7500 0.2500 0.5000
O 0.0592 0.5537 0.8757
O 0.4463 0.3220 0.5056
O 0.6780 0.1836 0.1243
O 0.8164 0.9408 0.4944



# 2
Computed X-ray diffraction stick pattern
Compound: LiVPO4
Radiation: Cu Kα (weighted mean of Kα1 and Kα2)
Structure: a DFT-relaxed cell (GGA+U, the Materials Project)
Intensities are scaled so that the largest is 100.

Top 10 peaks for 2θ = 10–90°, low angle first:
2θ 14.6, 6.088 Å, rel. 100
2θ 21.3, 4.165 Å, rel. 57
2θ 25.0, 3.563 Å, rel. 30
2θ 29.3, 3.046 Å, rel. 28
2θ 30.9, 2.893 Å, rel. 70
2θ 32.3, 2.772 Å, rel. 55
2θ 33.1, 2.704 Å, rel. 28
2θ 33.8, 2.652 Å, rel. 74
2θ 35.6, 2.519 Å, rel. 40
2θ 36.6, 2.458 Å, rel. 29

Cell and atoms:
Lattice parameters (Å, degrees): 5.5128 6.4928 9.4694 72.74 78.46 76.30
Element x y z (fractional)
Li 0.1944 0.3601 0.3993
Li 0.2941 0.5170 0.7508
Li 0.7059 0.4830 0.2492
Li 0.8056 0.6399 0.6007
V 0.2232 0.0462 0.7158
V 0.2738 0.1670 0.0852
V 0.7262 0.8330 0.9148
V 0.7768 0.9538 0.2842
P 0.1745 0.6938 0.0519
P 0.3149 0.8153 0.4243
P 0.6851 0.1847 0.5757
P 0.8255 0.3062 0.9481
O 0.1034 0.7220 0.3902
O 0.1065 0.2441 0.8760
O 0.1458 0.7280 0.8836
O 0.2602 0.8158 0.5905
O 0.2851 0.4598 0.1351
O 0.3316 0.0533 0.3201
O 0.3499 0.8463 0.0549
O 0.4142 0.3203 0.6060
O 0.5858 0.6797 0.3940
O 0.6501 0.1537 0.9451
O 0.6684 0.9467 0.6799
O 0.7149 0.5402 0.8649
O 0.7398 0.1842 0.4095
O 0.8542 0.2720 0.1164
O 0.8935 0.7559 0.1240
O 0.8966 0.2780 0.6098



# 3
Computed X-ray diffraction stick pattern
Compound: V6Cu11O26
Radiation: Cu Kα (weighted mean of Kα1 and Kα2)
Structure: a DFT-relaxed cell (GGA+U, the Materials Project)
Intensities are scaled so that the largest is 100.

Top 10 peaks for 2θ = 10–90°, low angle first:
2θ 13.5, 6.549 Å, rel. 93
2θ 24.3, 3.664 Å, rel. 95
2θ 29.0, 3.082 Å, rel. 81
2θ 30.2, 2.958 Å, rel. 75
2θ 31.2, 2.870 Å, rel. 77
2θ 32.3, 2.770 Å, rel. 100
2θ 32.4, 2.762 Å, rel. 70
2θ 32.7, 2.741 Å, rel. 83
2θ 35.0, 2.562 Å, rel. 88
2θ 35.8, 2.506 Å, rel. 74

Cell and atoms:
Lattice parameters (Å, degrees): 8.1828 8.3097 8.3253 106.22 91.59 107.10
Element x y z (fractional)
V 0.0664 0.2560 0.4071
V 0.2350 0.5630 0.9144
V 0.4191 0.0609 0.3102
V 0.5809 0.9391 0.6898
V 0.7650 0.4370 0.0856
V 0.9336 0.7440 0.5929
Cu 0.0013 0.1621 0.7921
Cu 0.2182 0.6434 0.3365
Cu 0.2228 0.9887 0.9221
Cu 0.3552 0.3533 0.1301
Cu 0.3682 0.2439 0.7111
Cu 0.5000 0.5000 0.5000
Cu 0.6318 0.7561 0.2889
Cu 0.6448 0.6467 0.8699
Cu 0.7772 0.0113 0.0779
Cu 0.7818 0.3566 0.6635
Cu 0.9987 0.8379 0.2079
O 0.0023 0.0737 0.2137
O 0.0334 0.4075 0.8340
O 0.1080 0.6782 0.5366
O 0.1279 0.1772 0.5549
O 0.2171 0.7644 0.9278
O 0.2343 0.2194 0.9035
O 0.2339 0.8874 0.3139
O 0.2588 0.4275 0.3768
O 0.3159 0.5709 0.1238
O 0.3840 0.1300 0.1325
O 0.3870 0.5053 0.7781
O 0.4134 0.0248 0.7124
O 0.4734 0.2523 0.4961
O 0.5266 0.7477 0.5039
O 0.5866 0.9752 0.2876
O 0.6130 0.4947 0.2219
O 0.6160 0.8700 0.8675
O 0.6841 0.4291 0.8762
O 0.7412 0.5725 0.6232
O 0.7661 0.1126 0.6861
O 0.7657 0.7806 0.0965
O 0.7829 0.2356 0.0722
O 0.8721 0.8228 0.4451
O 0.8920 0.3218 0.4634
O 0.9666 0.5925 0.1660
O 0.9977 0.9263 0.7863



# 4
Computed X-ray diffraction stick pattern
Compound: Mn2ZnO4
Radiation: Cu Kα (weighted mean of Kα1 and Kα2)
Structure: a DFT-relaxed cell (GGA+U, the Materials Project)
Intensities are scaled so that the largest is 100.

Top 10 peaks for 2θ = 10–90°, low angle first:
2θ 28.9, 3.091 Å, rel. 44
2θ 30.8, 2.902 Å, rel. 19
2θ 32.5, 2.756 Å, rel. 71
2θ 35.9, 2.502 Å, rel. 100
2θ 51.1, 1.788 Å, rel. 22
2θ 53.6, 1.709 Å, rel. 14
2θ 58.1, 1.588 Å, rel. 15
2θ 58.2, 1.585 Å, rel. 15
2θ 59.8, 1.545 Å, rel. 53
2θ 64.2, 1.451 Å, rel. 21

Cell and atoms:
Lattice parameters (Å, degrees): 6.2411 6.2352 5.8036 62.33 62.23 55.44
Element x y z (fractional)
Mn 0.0000 0.0000 0.0000
Mn 0.0000 0.0000 0.5000
Mn 0.0000 0.5000 0.0000
Mn 0.5000 0.0000 0.0000
Zn 0.3750 0.3750 0.3750
Zn 0.6250 0.6250 0.6250
O 0.2207 0.7663 0.7566
O 0.2337 0.7793 0.2437
O 0.2434 0.2437 0.7793
O 0.2437 0.2434 0.2337
O 0.7563 0.7566 0.7663
O 0.7566 0.7563 0.2207
O 0.7663 0.2207 0.7563
O 0.7793 0.2337 0.2434



# 5
Computed X-ray diffraction stick pattern
Compound: Ba2MgVMoO6
Radiation: Cu Kα (weighted mean of Kα1 and Kα2)
Structure: a DFT-relaxed cell (GGA+U, the Materials Project)
Intensities are scaled so that the largest is 100.

Top 10 peaks for 2θ = 10–90°, low angle first:
2θ 17.8, 4.984 Å, rel. 19
2θ 29.0, 3.084 Å, rel. 100
2θ 30.2, 2.962 Å, rel. 44
2θ 30.8, 2.907 Å, rel. 41
2θ 32.8, 2.728 Å, rel. 19
2θ 33.0, 2.717 Å, rel. 39
2θ 43.6, 2.075 Å, rel. 53
2θ 45.3, 2.002 Å, rel. 31
2θ 52.8, 1.733 Å, rel. 19
2θ 53.6, 1.710 Å, rel. 18

Cell and atoms:
Lattice parameters (Å, degrees): 6.2021 6.2021 6.2021 124.11 122.94 84.00
Element x y z (fractional)
Ba 0.1950 0.1950 0.0000
Ba 0.8050 0.8050 0.0000
Mg 0.5000 0.5000 0.0000
V 0.5000 0.0000 0.5000
Mo 0.0000 0.5000 0.5000
O 0.2537 0.7537 0.5000
O 0.2665 0.2542 0.5207
O 0.2665 0.7458 0.0123
O 0.7335 0.2542 0.9877
O 0.7335 0.7458 0.4793
O 0.7463 0.2463 0.5000



# 6
Computed X-ray diffraction stick pattern
Compound: CaCo2P4O14
Radiation: Cu Kα (weighted mean of Kα1 and Kα2)
Structure: a DFT-relaxed cell (GGA+U, the Materials Project)
Intensities are scaled so that the largest is 100.

Top 10 peaks for 2θ = 10–90°, low angle first:
2θ 13.9, 6.373 Å, rel. 19
2θ 15.1, 5.884 Å, rel. 18
2θ 16.1, 5.506 Å, rel. 56
2θ 20.1, 4.418 Å, rel. 40
2θ 27.8, 3.209 Å, rel. 41
2θ 29.1, 3.064 Å, rel. 49
2θ 29.5, 3.031 Å, rel. 27
2θ 29.6, 3.020 Å, rel. 40
2θ 31.6, 2.827 Å, rel. 100
2θ 43.6, 2.078 Å, rel. 18

Cell and atoms:
Lattice parameters (Å, degrees): 6.4224 6.4894 6.7132 65.88 87.19 82.90
Element x y z (fractional)
Ca 0.0000 0.0000 0.0000
Co 0.2172 0.1855 0.4013
Co 0.5224 0.3799 0.9596
P 0.0038 0.5060 0.9357
P 0.2534 0.6326 0.5199
P 0.4930 0.9211 0.8374
P 0.7366 0.0519 0.4160
O 0.0733 0.6494 0.6901
O 0.1956 0.3247 0.0494
O 0.1957 0.4823 0.4113
O 0.2587 0.8818 0.3577
O 0.2763 0.0372 0.7265
O 0.4539 0.5245 0.6590
O 0.4720 0.6768 0.9964
O 0.5410 0.2225 0.2941
O 0.5865 0.0687 0.9299
O 0.6470 0.8989 0.6503
O 0.8153 0.8942 0.3111
O 0.8316 0.3665 0.9199
O 0.9133 0.1699 0.4584
O 0.9343 0.6658 0.0376